(1)
For Y2Al2InPt5, a PBE-relaxed structure gives the calculated powder diffraction line list in this record (Cu Kα).
No peak broadening, texture or thermal motion is included.

Main lines, in order of rising 2θ (5° ≤ 2θ ≤ 70°):
2theta	I/Imax	hkl
23.79	24	0 0 1
31.31	25	2 1 1
32.62	12	3 2 0
35.11	21	2 2 1
37.46	100	4 1 0
40.77	46	4 2 0
44.86	12	4 1 1
48.68	17	0 0 2
63.00	22	4 1 2
65.31	19	5 4 1

a b c (Å): 9.898 9.898 3.741
angles (deg): 90.00 90.00 90.00
Space group P4/mbm (No. 127)
Inequivalent atoms, fractional coordinates:
Y1 0.178 0.322 0.000 x4
Al1 0.120 0.620 0.000 x4
In1 0.000 0.000 0.000 x2
Pt1 0.000 0.500 0.500 x2
Pt2 0.067 0.787 0.500 x8

(2)
For RbSb3S5O, a PBE-relaxed structure gives the calculated powder diffraction line list in this record (Cu Kα).
No peak broadening, texture or thermal motion is included.

Main lines, in order of rising 2θ (5° ≤ 2θ ≤ 70°):
2theta	I/Imax	hkl
11.28	62	0 1 -1
14.90	46	1 0 -1
21.68	82	1 -2 0
21.90	70	1 1 -2
22.53	62	1 -1 2
23.09	64	0 1 2
30.13	100	2 0 0
30.36	46	1 -3 1
31.99	34	0 3 -2
32.53	40	1 0 -4

a b c (Å): 6.517 8.936 11.629
angles (deg): 106.09 99.99 108.23
Space group P-1 (No. 2)
Inequivalent atoms, fractional coordinates:
Rb1 0.231 0.155 0.192 x2
Sb1 0.205 0.691 0.488 x2
Sb2 0.220 0.558 0.928 x2
Sb3 0.252 0.139 0.649 x2
S1 0.162 0.940 0.399 x2
S2 0.201 0.461 0.602 x2
S3 0.206 0.586 0.143 x2
S4 0.243 0.881 0.700 x2
S5 0.286 0.276 0.902 x2
O1 0.113 0.165 0.950 x2

(3)
For KAgPd2F6, a PBE-relaxed structure gives the calculated powder diffraction line list in this record (Cu Kα).
No peak broadening, texture or thermal motion is included.

Main lines, in order of rising 2θ (5° ≤ 2θ ≤ 70°):
2theta	I/Imax	hkl
18.10	32	1 0 0
29.65	90	-1 1 1
29.76	100	0 1 -2
29.88	100	2 -1 0
42.42	69	0 2 0
42.93	29	2 -2 2
52.64	44	2 1 0
52.74	23	3 0 -1
52.86	32	1 -1 3
53.03	22	3 -1 1

a b c (Å): 5.978 5.983 6.004
angles (deg): 119.66 90.62 119.47
Space group P1 (No. 1)
Inequivalent atoms, fractional coordinates:
K1 0.000 0.000 0.000 x1
Ag1 0.524 0.023 0.499 x1
Pd1 0.258 0.508 0.749 x1
Pd2 0.759 0.508 0.250 x1
F1 0.119 0.617 0.498 x1
F2 0.432 0.434 0.002 x1
F3 0.545 0.008 0.063 x1
F4 0.554 0.498 0.545 x1
F5 0.943 0.482 0.935 x1
F6 0.955 0.009 0.455 x1